Diffraction record for Th3Ge4Au2. The X-ray powder pattern is simulated, not measured: it uses a structure optimized by DFT (GGA-PBE) and Cu Kα (λ = 1.5418 Å).
Neutral-atom scattering factors, no anomalous dispersion.

The 10 most intense peaks (2θ = 15–90°), sorted by position:
d = 2.822 Å, I = 56
d = 2.809 Å, I = 100
d = 2.799 Å, I = 52
d = 2.772 Å, I = 27
d = 2.206 Å, I = 37
d = 2.163 Å, I = 67
d = 2.099 Å, I = 26
d = 1.733 Å, I = 26
d = 1.521 Å, I = 19
d = 1.513 Å, I = 20

Atomic structure:
```
data_Th3Ge4Au2
_space_group_name_H-M_alt 'C 1 2/m 1'
_space_group_IT_number 12
_cell_length_a 11.275
_cell_length_b 4.412
_cell_length_c 8.513
_cell_angle_alpha 90.00
_cell_angle_beta 102.33
_cell_angle_gamma 90.00
loop_
_space_group_symop_operation_xyz
'x,y,z'
'-x,-y,-z'
'-x,y,-z'
'x,-y,z'
'x+1/2,y+1/2,z'
'-x+1/2,-y+1/2,-z'
'-x+1/2,y+1/2,-z'
'x+1/2,-y+1/2,z'
loop_
_atom_site_label
_atom_site_type_symbol
_atom_site_fract_x
_atom_site_fract_y
_atom_site_fract_z
_atom_site_occupancy
Th1 Th 0.000 0.000 0.000 1
Th2 Th 0.166 0.500 0.674 1
Ge1 Ge 0.077 0.000 0.413 1
Ge2 Ge 0.232 0.500 0.062 1
Au1 Au 0.096 0.500 0.267 1
```


Diffraction record for Tl3GeAu8. The X-ray powder pattern is simulated, not measured: it uses a structure optimized by DFT (GGA-PBE) and Cu Kα (λ = 1.5418 Å).
Neutral-atom scattering factors, no anomalous dispersion.

The 10 most intense peaks (2θ = 15–90°), sorted by position:
d = 2.878 Å, I = 16
d = 2.615 Å, I = 27
d = 2.556 Å, I = 100
d = 2.470 Å, I = 14
d = 2.379 Å, I = 67
d = 2.157 Å, I = 13
d = 2.039 Å, I = 15
d = 1.742 Å, I = 15
d = 1.439 Å, I = 19
d = 1.235 Å, I = 20

Atomic structure:
```
data_Tl3GeAu8
_space_group_name_H-M_alt 'P 63 m c'
_space_group_IT_number 186
_space_group_name_Hall 'P 6c -2c'
_cell_length_a 10.2235
_cell_length_b 10.2235
_cell_length_c 5.6430
_cell_angle_alpha 90.00
_cell_angle_beta 90.00
_cell_angle_gamma 120.00
loop_
_atom_site_label
_atom_site_type_symbol
_atom_site_fract_x
_atom_site_fract_y
_atom_site_fract_z
_atom_site_occupancy
Tl1 Tl 0.1521 0.3042 0.0000 1
Ge1 Ge 0.3333 0.6667 0.7356 1
Au1 Au 0.0000 0.0000 0.2490 1
Au2 Au 0.0030 0.5015 0.2235 1
Au3 Au 0.2034 0.4067 0.4999 1
Au4 Au 0.3333 0.6667 0.1869 1
```


Diffraction record for Tl2GeAu5. The X-ray powder pattern is simulated, not measured: it uses a structure optimized by DFT (GGA-PBE) and Cu Kα (λ = 1.5418 Å).
Neutral-atom scattering factors, no anomalous dispersion.

The 10 most intense peaks (2θ = 15–90°), sorted by position:
d = 5.683 Å, I = 19
d = 5.451 Å, I = 22
d = 5.047 Å, I = 18
d = 2.842 Å, I = 56
d = 2.797 Å, I = 46
d = 2.726 Å, I = 48
d = 2.524 Å, I = 100
d = 2.154 Å, I = 64
d = 1.700 Å, I = 23
d = 1.681 Å, I = 18

Atomic structure:
```
data_Tl2GeAu5
_space_group_name_H-M_alt 'C 1 m 1'
_space_group_IT_number 8
_cell_length_a 12.639
_cell_length_b 5.694
_cell_length_c 6.588
_cell_angle_alpha 90.00
_cell_angle_beta 120.38
_cell_angle_gamma 90.00
loop_
_space_group_symop_operation_xyz
'x,y,z'
'x,-y,z'
'x+1/2,y+1/2,z'
'x+1/2,-y+1/2,z'
loop_
_atom_site_label
_atom_site_type_symbol
_atom_site_fract_x
_atom_site_fract_y
_atom_site_fract_z
_atom_site_occupancy
Tl1 Tl 0.000 0.000 0.000 1
Tl2 Tl 0.041 0.500 0.460 1
Ge1 Ge 0.194 0.000 0.718 1
Au1 Au 0.277 0.250 0.509 1
Au2 Au 0.283 0.256 0.079 1
Au3 Au 0.465 0.500 0.491 1
```


Diffraction record for Tl2GeAu3. The X-ray powder pattern is simulated, not measured: it uses a structure optimized by DFT (GGA-PBE) and Cu Kα (λ = 1.5418 Å).
Neutral-atom scattering factors, no anomalous dispersion.

The 10 most intense peaks (2θ = 15–90°), sorted by position:
d = 3.754 Å, I = 22
d = 3.708 Å, I = 24
d = 3.163 Å, I = 67
d = 3.135 Å, I = 37
d = 2.676 Å, I = 27
d = 2.463 Å, I = 46
d = 2.312 Å, I = 100
d = 2.302 Å, I = 62
d = 2.150 Å, I = 66
d = 1.532 Å, I = 33

Atomic structure:
```
data_Tl2GeAu3
_space_group_name_H-M_alt 'C m c 21'
_space_group_IT_number 36
_cell_length_a 13.058
_cell_length_b 7.417
_cell_length_c 5.870
_cell_angle_alpha 90.00
_cell_angle_beta 90.00
_cell_angle_gamma 90.00
loop_
_space_group_symop_operation_xyz
'x,y,z'
'-x,-y,z+1/2'
'-x,y,z'
'x,-y,z+1/2'
'x+1/2,y+1/2,z'
'-x+1/2,-y+1/2,z+1/2'
'-x+1/2,y+1/2,z'
'x+1/2,-y+1/2,z+1/2'
loop_
_atom_site_label
_atom_site_type_symbol
_atom_site_fract_x
_atom_site_fract_y
_atom_site_fract_z
_atom_site_occupancy
Tl1 Tl 0.184 0.156 0.000 1
Ge1 Ge 0.000 0.300 0.497 1
Au1 Au 0.000 0.001 0.749 1
Au2 Au 0.127 0.499 0.749 1
```


Diffraction record for Tl3GeAu4. The X-ray powder pattern is simulated, not measured: it uses a structure optimized by DFT (GGA-PBE) and Cu Kα (λ = 1.5418 Å).
Neutral-atom scattering factors, no anomalous dispersion.

The 10 most intense peaks (2θ = 15–90°), sorted by position:
d = 3.433 Å, I = 39
d = 2.817 Å, I = 100
d = 2.733 Å, I = 74
d = 2.709 Å, I = 98
d = 2.524 Å, I = 96
d = 2.464 Å, I = 71
d = 2.138 Å, I = 49
d = 2.013 Å, I = 52
d = 1.621 Å, I = 34
d = 1.559 Å, I = 39

Atomic structure:
```
data_Tl3GeAu4
_space_group_name_H-M_alt 'P 1 21/m 1'
_space_group_IT_number 11
_cell_length_a 4.026
_cell_length_b 9.853
_cell_length_c 19.719
_cell_angle_alpha 90.00
_cell_angle_beta 90.00
_cell_angle_gamma 90.00
loop_
_space_group_symop_operation_xyz
'x,y,z'
'-x,-y,-z'
'-x,y+1/2,-z'
'x,-y+1/2,z'
loop_
_atom_site_label
_atom_site_type_symbol
_atom_site_fract_x
_atom_site_fract_y
_atom_site_fract_z
_atom_site_occupancy
Tl1 Tl 0.002 0.059 0.177 1
Tl2 Tl 0.002 0.250 0.561 1
Tl3 Tl 0.498 0.059 0.677 1
Tl4 Tl 0.498 0.250 0.060 1
Ge1 Ge 0.006 0.250 0.346 1
Ge2 Ge 0.496 0.250 0.846 1
Au1 Au 0.002 0.750 0.051 1
Au2 Au 0.003 0.043 0.430 1
Au3 Au 0.004 0.750 0.239 1
Au4 Au 0.495 0.750 0.739 1
Au5 Au 0.497 0.750 0.551 1
Au6 Au 0.498 0.043 0.930 1
```


Diffraction record for Tl4GeAu5. The X-ray powder pattern is simulated, not measured: it uses a structure optimized by DFT (GGA-PBE) and Cu Kα (λ = 1.5418 Å).
Neutral-atom scattering factors, no anomalous dispersion.

The 10 most intense peaks (2θ = 15–90°), sorted by position:
d = 2.718 Å, I = 100
d = 2.497 Å, I = 17
d = 2.372 Å, I = 10
d = 2.291 Å, I = 36
d = 2.221 Å, I = 10
d = 1.811 Å, I = 11
d = 1.688 Å, I = 16
d = 1.620 Å, I = 10
d = 1.481 Å, I = 13
d = 1.391 Å, I = 16

Atomic structure:
```
data_Tl4GeAu5
_space_group_name_H-M_alt 'I 4 m m'
_space_group_IT_number 107
_space_group_name_Hall 'I 4 -2'
_cell_length_a 9.718
_cell_length_b 9.718
_cell_length_c 4.995
_cell_angle_alpha 90.00
_cell_angle_beta 90.00
_cell_angle_gamma 90.00
loop_
_atom_site_label
_atom_site_type_symbol
_atom_site_fract_x
_atom_site_fract_y
_atom_site_fract_z
_atom_site_occupancy
Tl1 Tl 0.000 0.308 0.000 1
Ge1 Ge 0.000 0.000 0.679 1
Au1 Au 0.000 0.000 0.177 1
Au2 Au 0.186 0.186 0.497 1
```